For SbP3, a DFT-relaxed cell (PBE, Alexandria) gives the computed powder diffraction line list in this record (Cu Kα X-rays).

Cell and atoms:
Cell: 5.308 5.308 5.308 Å, 90.00 90.00 90.00°
Space group Im-3m (No. 229)
Inequivalent atoms, fractional coordinates:
Sb 0.000 0.000 0.000 x2
P 0.000 0.000 0.500 x6

Largest 10 diffraction maxima, by angle, 2θ = 15–90°:
| two_theta | I_rel |
| --- | --- |
| 23.71 | 86 |
| 33.77 | 100 |
| 41.68 | 40 |
| 48.51 | 68 |
| 54.68 | 18 |
| 60.41 | 23 |
| 65.83 | 21 |
| 71.03 | 11 |
| 76.08 | 10 |
| 81.01 | 31 |